This entry pairs a crystal structure of Sr4LiMn2Ga2O10 with its calculated X-ray diffraction stick pattern. Radiation: Cu Ka. Structure: a GGA+U-relaxed structure.

Structural model:
a = 8.0319 Å, b = 16.4588 Å, c = 5.6866 Å
α = 90.00°, β = 134.45°, γ = 90.00°
Space group C2/m (No. 12)
Asymmetric unit:
Sr: 0.2268 0.1467 0.4699 x8
Li: 0.0000 0.5000 0.5000 x2
Mn: 0.2500 0.2500 0.0000 x4
Ga: 0.2102 0.5000 0.0773 x4
O: 0.0000 0.2543 0.0000 x4
O: 0.0000 0.2558 0.5000 x4
O: 0.1381 0.5000 0.3362 x4
O: 0.2061 0.0991 0.9576 x8

Main lines, sorted by position (2θ = 10–90°):
- 3.955 Å, I 18
- 2.890 Å, I 65
- 2.870 Å, I 100
- 2.843 Å, I 37
- 2.265 Å, I 20
- 2.057 Å, I 16
- 2.030 Å, I 22
- 2.008 Å, I 18
- 1.663 Å, I 15
- 1.653 Å, I 15